Record 1
Diffraction record for Er2BeZn2Ni5. The powder diffractogram is theoretical, not measured: it uses a GGA-PBE-relaxed structure and CuKα.
No peak broadening, texture or thermal motion is included.

Cell: 9.349 9.349 3.301 Å, 90.00 90.00 90.00°
Space group P4/mbm (No. 127)
Unique sites:
Er  0.173  0.327  0.000 (multiplicity 4)
Be  0.000  0.000  0.000 (multiplicity 2)
Zn  0.127  0.627  0.000 (multiplicity 4)
Ni  0.000  0.500  0.500 (multiplicity 2)
Ni  0.054  0.814  0.500 (multiplicity 8)

Most intense lines, 2θ from 5° to 70°, by angle:
| d (Å) | I_rel | (hkl) |
| --- | --- | --- |
| 6.610 | 169 | 1 1 0 |
| 2.954 | 162 | 1 1 1 |
| 2.697 | 260 | 2 0 1 |
| 2.591 | 225 | 2 1 1 |
| 2.336 | 124 | 2 2 1 |
| 2.267 | 422 | 4 1 0 |
| 2.203 | 1000 | 3 3 0 |
| 2.039 | 188 | 3 2 1 |
| 1.907 | 161 | 4 0 1 |
| 1.651 | 162 | 0 0 2 |

=====

Record 2
Diffraction record for CaNdNb2O7. The powder diffractogram is theoretical, not measured: it uses a GGA-PBE-relaxed structure and CuKα.
No peak broadening, texture or thermal motion is included.

Cell: 7.428 7.562 10.652 Å, 90.00 90.00 90.00°
Space group Imma (No. 74)
Unique sites:
Ca  0.250  0.250  0.250 (multiplicity 4)
Nd  0.000  0.000  0.000 (multiplicity 4)
Nb  0.000  0.000  0.500 (multiplicity 4)
Nb  0.250  0.250  0.750 (multiplicity 4)
O  0.000  0.250  0.126 (multiplicity 4)
O  0.000  0.250  0.433 (multiplicity 4)
O  0.000  0.250  0.836 (multiplicity 4)
O  0.200  0.051  0.625 (multiplicity 16)

Most intense lines, 2θ from 5° to 70°, by angle:
| d (Å) | I_rel | (hkl) |
| --- | --- | --- |
| 6.166 | 155 | 0 1 1 |
| 3.083 | 1000 | 0 2 2 |
| 3.046 | 1000 | 2 0 2 |
| 2.663 | 189 | 0 0 4 |
| 2.649 | 377 | 2 2 0 |
| 1.890 | 164 | 0 4 0 |
| 1.878 | 647 | 2 2 4 |
| 1.857 | 156 | 4 0 0 |
| 1.607 | 438 | 2 4 2 |
| 1.591 | 271 | 4 2 2 |

=====

Record 3
Diffraction record for TbPm2PO8. The powder diffractogram is theoretical, not measured: it uses a GGA-PBE-relaxed structure and CuKα.
No peak broadening, texture or thermal motion is included.

Cell: 5.2029 5.2029 6.2521 Å, 90.00 90.00 120.00°
Space group P-3m1 (No. 164)
Unique sites:
Tb  0.0000  0.0000  0.0000 (multiplicity 1)
Pm  0.3333  0.6667  0.3633 (multiplicity 2)
P  0.0000  0.0000  0.5000 (multiplicity 1)
O  0.1530  0.3060  0.6621 (multiplicity 6)
O  0.3333  0.6667  0.0228 (multiplicity 2)

Most intense lines, 2θ from 5° to 70°, by angle:
| d (Å) | I_rel | (hkl) |
| --- | --- | --- |
| 3.655 | 1000 | 0 1 1 |
| 2.601 | 724 | 1 1 0 |
| 2.568 | 492 | 1 0 2 |
| 2.119 | 423 | 2 0 1 |
| 2.084 | 134 | 0 0 3 |
| 1.828 | 308 | 0 2 2 |
| 1.643 | 228 | 1 2 1 |
| 1.626 | 212 | 1 1 3 |
| 1.502 | 131 | 3 0 0 |
| 1.496 | 195 | 2 1 2 |

=====

Record 4
Diffraction record for SrCd2Sn2Hg. The powder diffractogram is theoretical, not measured: it uses a GGA-PBE-relaxed structure and CuKα.
No peak broadening, texture or thermal motion is included.

Cell: 8.048 8.711 5.158 Å, 90.00 90.00 90.00°
Space group Pnnm (No. 58)
Unique sites:
Sr  0.000  0.000  0.000 (multiplicity 2)
Cd  0.180  0.197  0.500 (multiplicity 4)
Sn  0.206  0.811  0.500 (multiplicity 4)
Hg  0.000  0.500  0.000 (multiplicity 2)

Most intense lines, 2θ from 5° to 70°, by angle:
| d (Å) | I_rel | (hkl) |
| --- | --- | --- |
| 4.438 | 552 | 0 1 1 |
| 3.075 | 1000 | 1 2 1 |
| 2.956 | 799 | 2 2 0 |
| 2.579 | 529 | 0 0 2 |
| 2.530 | 160 | 0 3 1 |
| 2.380 | 697 | 3 0 1 |
| 2.142 | 391 | 2 3 1 |
| 1.944 | 597 | 2 2 2 |
| 1.651 | 154 | 0 5 1 |
| 1.448 | 372 | 3 0 3 |

=====

Record 5
Diffraction record for K2Er2TeO6. The powder diffractogram is theoretical, not measured: it uses a GGA-PBE-relaxed structure and CuKα.
No peak broadening, texture or thermal motion is included.

Cell: 5.917 10.226 6.645 Å, 90.00 106.56 90.00°
Space group C2/m (No. 12)
Unique sites:
K  0.000  0.165  0.000 (multiplicity 4)
Er  0.000  0.335  0.500 (multiplicity 4)
Te  0.000  0.000  0.500 (multiplicity 2)
O  0.218  0.167  0.675 (multiplicity 8)
O  0.234  0.500  0.675 (multiplicity 4)

Most intense lines, 2θ from 5° to 70°, by angle:
| d (Å) | I_rel | (hkl) |
| --- | --- | --- |
| 6.370 | 1000 | 0 0 1 |
| 3.185 | 249 | 0 0 2 |
| 2.920 | 331 | 2 0 -1 |
| 2.836 | 156 | 2 0 0 |
| 2.817 | 305 | 1 3 -1 |
| 2.519 | 442 | 1 3 1 |
| 2.501 | 218 | 2 0 -2 |
| 2.011 | 127 | 1 3 2 |
| 1.852 | 146 | 1 3 -3 |
| 1.706 | 203 | 0 6 0 |

=====

Record 6
Diffraction record for Re4Se7Br. The powder diffractogram is theoretical, not measured: it uses a GGA-PBE-relaxed structure and CuKα.
No peak broadening, texture or thermal motion is included.

Cell: 4.680 8.097 15.254 Å, 90.00 107.82 90.00°
Space group Pc (No. 7)
Unique sites:
Re  0.000  0.208  0.000 (multiplicity 2)
Re  0.142  0.263  0.642 (multiplicity 2)
Re  0.621  0.263  0.121 (multiplicity 2)
Re  0.762  0.208  0.763 (multiplicity 2)
Se  0.001  0.131  0.502 (multiplicity 2)
Se  0.137  0.384  0.137 (multiplicity 2)
Se  0.272  0.092  0.773 (multiplicity 2)
Se  0.490  0.093  0.990 (multiplicity 2)
Se  0.626  0.384  0.626 (multiplicity 2)
Se  0.760  0.131  0.261 (multiplicity 2)
Se  0.880  0.408  0.881 (multiplicity 2)
Br  0.379  0.339  0.381 (multiplicity 2)

Most intense lines, 2θ from 5° to 70°, by angle:
| d (Å) | I_rel | (hkl) |
| --- | --- | --- |
| 7.261 | 491 | 0 0 2 |
| 7.072 | 629 | 0 1 1 |
| 4.049 | 594 | 0 2 0 |
| 3.538 | 872 | 1 1 1 |
| 3.313 | 665 | 0 1 4 |
| 2.340 | 744 | 2 0 -2 |
| 2.226 | 325 | 1 3 -3 |
| 2.166 | 278 | 0 3 4 |
| 2.107 | 341 | 1 2 -6 |
| 1.966 | 1000 | 1 3 3 |

=====

Record 7
Diffraction record for CaAg2SO6. The powder diffractogram is theoretical, not measured: it uses a GGA-PBE-relaxed structure and CuKα.
No peak broadening, texture or thermal motion is included.

Cell: 5.6713 5.6713 5.8678 Å, 90.00 90.00 120.00°
Space group P-3m1 (No. 164)
Unique sites:
Ca  0.0000  0.0000  0.0000 (multiplicity 1)
Ag  0.3333  0.6667  0.4667 (multiplicity 2)
S  0.0000  0.0000  0.5000 (multiplicity 1)
O  0.1370  0.2741  0.6701 (multiplicity 6)

Most intense lines, 2θ from 5° to 70°, by angle:
| d (Å) | I_rel | (hkl) |
| --- | --- | --- |
| 5.868 | 1000 | 0 0 1 |
| 3.766 | 307 | 0 1 1 |
| 2.934 | 134 | 0 0 2 |
| 2.836 | 550 | 1 1 0 |
| 2.553 | 425 | 1 1 1 |
| 2.265 | 226 | 2 0 1 |
| 2.039 | 455 | 1 1 2 |
| 1.817 | 116 | 0 1 3 |
| 1.770 | 113 | 1 2 1 |
| 1.430 | 143 | 0 3 2 |

=====

Record 8
Diffraction record for Li6Cu. The powder diffractogram is theoretical, not measured: it uses a GGA-PBE-relaxed structure and CuKα.
No peak broadening, texture or thermal motion is included.

Cell: 4.5722 4.5722 19.6617 Å, 90.00 90.00 120.00°
Space group R-3m (No. 166, hexagonal axes)
Unique sites:
Li  0.0000  0.0000  0.0763 (multiplicity 6)
Li  0.0000  0.0000  0.2105 (multiplicity 6)
Li  0.0000  0.0000  0.3648 (multiplicity 6)
Cu  0.0000  0.0000  0.5000 (multiplicity 3)

Most intense lines, 2θ from 5° to 70°, by angle:
| d (Å) | I_rel | (hkl) |
| --- | --- | --- |
| 6.554 | 1000 | 0 0 3 |
| 3.882 | 852 | 1 0 1 |
| 3.673 | 753 | 0 1 2 |
| 3.277 | 174 | 0 0 6 |
| 3.084 | 433 | 1 0 4 |
| 2.790 | 343 | 0 1 5 |
| 2.289 | 978 | 1 1 0 |
| 2.159 | 364 | 1 1 3 |
| 2.088 | 163 | 0 1 8 |
| 1.875 | 203 | 1 1 6 |

=====

Record 9
Diffraction record for HoH12Rh5. The powder diffractogram is theoretical, not measured: it uses a GGA-PBE-relaxed structure and CuKα.
No peak broadening, texture or thermal motion is included.

Cell: 3.735 5.758 6.994 Å, 102.26 104.55 90.24°
Space group P-1 (No. 2)
Unique sites:
Ho  0.000  0.000  0.000 (multiplicity 1)
H  0.149  0.634  0.843 (multiplicity 2)
H  0.151  0.285  0.843 (multiplicity 2)
H  0.199  0.358  0.461 (multiplicity 2)
H  0.228  0.869  0.452 (multiplicity 2)
H  0.394  0.560  0.239 (multiplicity 2)
H  0.428  0.952  0.794 (multiplicity 2)
Rh  0.323  0.666  0.646 (multiplicity 2)
Rh  0.326  0.159  0.641 (multiplicity 2)
Rh  0.500  0.500  0.000 (multiplicity 1)

Most intense lines, 2θ from 5° to 70°, by angle:
| d (Å) | I_rel | (hkl) |
| --- | --- | --- |
| 3.103 | 263 | 1 1 -1 |
| 2.870 | 674 | 1 0 1 |
| 2.826 | 645 | 1 0 -2 |
| 2.418 | 1000 | 0 2 -2 |
| 2.401 | 847 | 0 2 1 |
| 2.284 | 349 | 1 -2 0 |
| 2.276 | 346 | 1 2 -1 |
| 2.201 | 580 | 0 0 3 |
| 1.867 | 407 | 2 0 -1 |
| 1.470 | 384 | -2 2 2 |

=====

Record 10
Diffraction record for ErCoSi3Ni. The powder diffractogram is theoretical, not measured: it uses a GGA-PBE-relaxed structure and CuKα.
No peak broadening, texture or thermal motion is included.

Cell: 5.936 12.434 5.437 Å, 90.00 90.00 90.00°
Space group Cmcm (No. 63)
Unique sites:
Er  0.000  0.202  0.250 (multiplicity 4)
Co  0.000  0.045  0.750 (multiplicity 4)
Si  0.000  0.217  0.750 (multiplicity 4)
Si  0.209  0.500  0.000 (multiplicity 8)
Ni  0.000  0.387  0.750 (multiplicity 4)

Most intense lines, 2θ from 5° to 70°, by angle:
| d (Å) | I_rel | (hkl) |
| --- | --- | --- |
| 4.093 | 481 | 0 2 1 |
| 3.816 | 283 | 1 1 1 |
| 2.968 | 614 | 2 0 0 |
| 2.882 | 1000 | 1 3 1 |
| 2.719 | 458 | 0 0 2 |
| 2.699 | 370 | 0 4 1 |
| 2.294 | 488 | 1 5 0 |
| 2.005 | 735 | 2 0 2 |
| 1.997 | 311 | 2 4 1 |
| 1.753 | 528 | 1 5 2 |